For Lu2ZnHg, a cell relaxed with PBE gives the computed powder diffractogram in this record (Cu Kα (λ = 1.5418 Å)).
Neutral-atom scattering factors, no anomalous dispersion.

Structural model:
Lattice parameters (Å, degrees): 7.1675 7.1675 7.1675 90.00 90.00 90.00
Space group Fm-3m (No. 225)
Unique sites:
Lu (0.2500, 0.2500, 0.2500) (multiplicity 8)
Zn (0.0000, 0.0000, 0.0000) (multiplicity 4)
Hg (0.0000, 0.0000, 0.5000) (multiplicity 4)

Peak list (12 most intense, 10° ≤ 2θ ≤ 90°, by angle)
2theta, I_rel, hkl
21.47, 10, 1 1 1
24.84, 2, 2 0 0
35.42, 100, 2 2 0
41.80, 6, 3 1 1
50.96, 18, 4 0 0
55.92, 3, 3 3 1
63.60, 37, 4 2 2
67.96, 2, 5 1 1
74.95, 11, 4 4 0
79.04, 2, 5 3 1
85.73, 17, 6 2 0
89.71, 1, 5 3 3